1.
Theoretical powder diffraction line list of DyTlP2O8 for Cu Kα (weighted mean of Kα1 and Kα2), from a cell relaxed with GGA-PBE.

Cell and atoms:
Lattice parameters (Å, degrees): 7.0199 7.0199 6.0460 90.00 90.00 90.00
Space group I-4m2 (No. 119)
Unique sites:
Dy 0.0000 0.0000 0.0000 (multiplicity 2)
Tl 0.0000 0.5000 0.7500 (multiplicity 2)
P 0.0000 0.0000 0.5000 (multiplicity 2)
P 0.0000 0.5000 0.2500 (multiplicity 2)
O 0.0000 0.1708 0.6641 (multiplicity 8)
O 0.0000 0.3257 0.0893 (multiplicity 8)

Top 10 peaks for 2θ = 10–90°, in order of rising 2θ:
(hkl)	2θ/deg	Rel. int.
1 0 1	19.38	67
2 0 0	25.38	100
2 1 1	32.13	31
1 1 2	34.75	66
2 2 0	36.19	23
3 0 1	41.38	22
3 2 1	49.16	23
3 1 2	51.04	54
3 3 2	64.17	16
5 1 2	75.95	14



2.
Theoretical powder diffraction line list of Sr4S3Br for Cu Kα (weighted mean of Kα1 and Kα2), from a cell relaxed with GGA-PBE.

Cell and atoms:
Lattice parameters (Å, degrees): 4.3226 4.3226 42.6045 90.00 90.00 120.00
Space group R-3m (No. 166, hexagonal axes)
Unique sites:
Sr 0.0000 0.0000 0.1183 (multiplicity 6)
Sr 0.0000 0.0000 0.3731 (multiplicity 6)
S 0.0000 0.0000 0.0000 (multiplicity 3)
S 0.0000 0.0000 0.2512 (multiplicity 6)
Br 0.0000 0.0000 0.5000 (multiplicity 3)

Top 10 peaks for 2θ = 10–90°, in order of rising 2θ:
(hkl)	2θ/deg	Rel. int.
1 0 4	25.22	14
0 1 8	29.16	100
1 0 16	41.62	32
1 1 0	41.79	38
0 2 4	49.39	6
2 0 8	51.77	19
0 2 16	60.46	10
1 1 24	68.39	12
1 2 8	68.63	17
2 1 16	76.20	11



3.
Theoretical powder diffraction line list of AcCeAlZn for Cu Kα (weighted mean of Kα1 and Kα2), from a cell relaxed with GGA-PBE.

Cell and atoms:
Lattice parameters (Å, degrees): 7.6058 7.6058 7.6058 90.00 90.00 90.00
Space group F-43m (No. 216)
Unique sites:
Ac 0.0000 0.0000 0.0000 (multiplicity 4)
Ce 0.0000 0.0000 0.5000 (multiplicity 4)
Al 0.2500 0.2500 0.7500 (multiplicity 4)
Zn 0.2500 0.2500 0.2500 (multiplicity 4)

Top 10 peaks for 2θ = 10–90°, in order of rising 2θ:
(hkl)	2θ/deg	Rel. int.
1 1 1	20.22	9
2 0 0	23.39	39
2 2 0	33.32	100
2 2 2	41.11	12
4 0 0	47.84	18
4 2 0	53.91	17
4 2 2	59.55	38
4 4 0	69.97	12
6 0 0	74.91	8
6 2 0	79.74	16